(1)
Starting from DFT lattice parameters and positions (GGA-PBE), the powder XRD pattern of SrNdSi2Os2 was simulated for Cu Kα X-rays.
Neutral-atom scattering factors, no anomalous dispersion.

Structure:
Unit cell a=4.254 b=4.254 c=7.295 alpha=90.00 beta=90.00 gamma=90.00
Space group P4mm (No. 99)
One atom of each set of equivalent atoms:
Sr 0.000 0.000 0.000 x1
Nd 0.500 0.500 0.360 x1
Si 0.000 0.000 0.498 x1
Si 0.500 0.500 0.824 x1
Os 0.000 0.500 0.660 x2

Principal peaks in the range 2θ from 10° to 90°, sorted by position:
2θ = 12.1°, I 100, (0 0 1); 2θ = 24.2°, I 22, (1 0 1); 2θ = 32.2°, I 77, (1 1 1); 2θ = 32.3°, I 21, (1 0 2); 2θ = 37.0°, I 19, (0 0 3); 2θ = 38.8°, I 74, (1 1 2); 2θ = 42.5°, I 41, (2 0 0); 2θ = 57.6°, I 22, (2 0 3); 2θ = 71.3°, I 18, (3 1 1); 2θ = 75.3°, I 22, (3 1 2)

(2)
Starting from DFT lattice parameters and positions (GGA-PBE), the powder XRD pattern of K2TlGa3Pt2 was simulated for Cu Kα X-rays.
Neutral-atom scattering factors, no anomalous dispersion.

Structure:
Unit cell a=12.709 b=4.344 c=7.461 alpha=90.00 beta=91.67 gamma=90.00
Space group Cm (No. 8)
One atom of each set of equivalent atoms:
K 0.000 0.000 0.000 x2
K 0.097 0.000 0.520 x2
Tl 0.401 0.000 0.316 x2
Ga 0.232 0.500 0.840 x2
Ga 0.234 0.500 0.214 x2
Ga 0.350 0.000 0.713 x2
Pt 0.253 0.000 0.014 x2
Pt 0.317 0.500 0.536 x2

Principal peaks in the range 2θ from 10° to 90°, sorted by position:
2θ = 13.9°, I 100, (2 0 0); 2θ = 18.6°, I 17, (2 0 1); 2θ = 24.6°, I 28, (1 1 -1); 2θ = 30.9°, I 27, (4 0 1); 2θ = 31.6°, I 28, (3 1 -1); 2θ = 32.6°, I 17, (1 1 2); 2θ = 37.8°, I 17, (3 1 -2); 2θ = 41.6°, I 22, (0 2 0); 2θ = 42.3°, I 19, (1 1 -3); 2θ = 42.7°, I 29, (1 1 3)

(3)
Starting from DFT lattice parameters and positions (GGA-PBE), the powder XRD pattern of Tm3Al2InCu3 was simulated for Cu Kα X-rays.
Neutral-atom scattering factors, no anomalous dispersion.

Structure:
Unit cell a=3.898 b=12.288 c=7.210 alpha=90.00 beta=90.00 gamma=90.00
Space group Amm2 (No. 38)
One atom of each set of equivalent atoms:
Tm 0.000 0.000 0.000 x2
Tm 0.000 0.209 0.384 x4
Al 0.500 0.121 0.716 x4
In 0.500 0.000 0.344 x2
Cu 0.000 0.000 0.609 x2
Cu 0.500 0.172 0.086 x4

Principal peaks in the range 2θ from 10° to 90°, sorted by position:
2θ = 24.7°, I 18, (0 0 2); 2θ = 29.1°, I 23, (0 4 0); 2θ = 33.9°, I 27, (1 0 2); 2θ = 34.1°, I 100, (1 3 1); 2θ = 37.0°, I 95, (1 2 2); 2θ = 37.3°, I 22, (1 4 0); 2θ = 38.2°, I 21, (0 1 3); 2θ = 38.7°, I 17, (0 5 1); 2θ = 46.6°, I 28, (2 0 0); 2θ = 59.1°, I 20, (1 7 1)

(4)
Starting from DFT lattice parameters and positions (GGA-PBE), the powder XRD pattern of Zr3Cu4Pb4 was simulated for Cu Kα X-rays.
Neutral-atom scattering factors, no anomalous dispersion.

Structure:
Unit cell a=6.603 b=4.471 c=7.888 alpha=90.00 beta=91.34 gamma=90.00
Space group Pm (No. 6)
One atom of each set of equivalent atoms:
Zr 0.000 0.000 0.000 x1
Zr 0.013 0.500 0.469 x1
Zr 0.512 0.000 0.987 x1
Cu 0.165 0.500 0.818 x1
Cu 0.238 0.000 0.322 x1
Cu 0.783 0.500 0.141 x1
Cu 0.859 0.000 0.656 x1
Pb 0.282 0.500 0.154 x1
Pb 0.291 0.000 0.651 x1
Pb 0.713 0.000 0.335 x1
Pb 0.718 0.500 0.791 x1

Principal peaks in the range 2θ from 10° to 90°, sorted by position:
2θ = 26.1°, I 26, (1 0 -2); 2θ = 26.5°, I 18, (1 1 -1); 2θ = 26.7°, I 56, (1 1 1); 2θ = 27.0°, I 30, (2 0 0); 2θ = 35.5°, I 100, (2 1 -1); 2θ = 35.9°, I 55, (2 0 2); 2θ = 39.8°, I 94, (0 1 3); 2θ = 40.3°, I 48, (0 2 0); 2θ = 49.2°, I 23, (2 2 0); 2θ = 55.1°, I 29, (2 2 2)

(5)
Starting from DFT lattice parameters and positions (GGA-PBE), the powder XRD pattern of K3Fe was simulated for Cu Kα X-rays.
Neutral-atom scattering factors, no anomalous dispersion.

Structure:
Unit cell a=8.1545 b=8.1545 c=6.3243 alpha=90.00 beta=90.00 gamma=120.00
Space group P6_3/mmc (No. 194)
One atom of each set of equivalent atoms:
K 0.1788 0.3577 0.2500 x6
Fe 0.3333 0.6667 0.7500 x2

Principal peaks in the range 2θ from 10° to 90°, sorted by position:
2θ = 25.2°, I 24, (2 0 0); 2θ = 28.2°, I 25, (0 0 2); 2θ = 29.0°, I 100, (2 0 1); 2θ = 38.2°, I 15, (2 0 2); 2θ = 44.4°, I 18, (2 2 0); 2θ = 50.4°, I 18, (2 0 3); 2θ = 53.5°, I 19, (2 2 2); 2θ = 53.9°, I 13, (4 0 1); 2θ = 72.4°, I 9, (4 2 1); 2θ = 76.2°, I 6, (2 2 4)

(6)
Starting from DFT lattice parameters and positions (GGA-PBE), the powder XRD pattern of Tb2DyAl3PtAu2 was simulated for Cu Kα X-rays.
Neutral-atom scattering factors, no anomalous dispersion.

Structure:
Unit cell a=3.959 b=12.799 c=7.388 alpha=90.00 beta=90.00 gamma=90.00
Space group Amm2 (No. 38)
One atom of each set of equivalent atoms:
Tb 0.000 0.205 0.000 x4
Dy 0.000 0.000 0.615 x2
Al 0.500 0.000 0.968 x2
Al 0.500 0.118 0.324 x4
Pt 0.000 0.000 0.206 x2
Au 0.500 0.166 0.705 x4

Principal peaks in the range 2θ from 10° to 90°, sorted by position:
2θ = 24.1°, I 55, (0 0 2); 2θ = 26.5°, I 27, (1 1 1); 2θ = 33.2°, I 69, (1 3 1); 2θ = 36.1°, I 100, (1 4 0); 2θ = 42.4°, I 41, (0 6 0); 2θ = 43.9°, I 38, (1 4 2); 2θ = 45.8°, I 22, (2 0 0); 2θ = 56.9°, I 18, (1 7 1); 2θ = 64.2°, I 24, (2 6 0); 2θ = 68.1°, I 27, (1 7 3)

(7)
Starting from DFT lattice parameters and positions (GGA-PBE), the powder XRD pattern of K2CdC2O6 was simulated for Cu Kα X-rays.
Neutral-atom scattering factors, no anomalous dispersion.

Structure:
Unit cell a=5.2603 b=5.2603 c=13.0680 alpha=90.00 beta=90.00 gamma=120.00
Space group P6_3mc (No. 186)
One atom of each set of equivalent atoms:
K 0.3333 0.6667 0.0000 x2
K 0.3333 0.6667 0.3214 x2
Cd 0.0000 0.0000 0.1470 x2
C 0.0000 0.0000 0.4550 x2
C 0.3333 0.6667 0.6688 x2
O 0.0486 0.5243 0.6697 x6
O 0.1421 0.2842 0.4581 x6

Principal peaks in the range 2θ from 10° to 90°, sorted by position:
2θ = 13.6°, I 76, (0 0 2); 2θ = 19.5°, I 62, (1 0 0); 2θ = 23.8°, I 100, (1 0 2); 2θ = 27.3°, I 32, (0 0 4); 2θ = 28.3°, I 57, (1 0 3); 2θ = 33.8°, I 77, (1 0 4); 2θ = 34.1°, I 89, (1 1 0); 2θ = 42.0°, I 85, (2 0 2); 2θ = 48.7°, I 49, (2 0 4); 2θ = 54.7°, I 38, (1 1 6)

(8)
Starting from DFT lattice parameters and positions (GGA-PBE), the powder XRD pattern of CsNbSeS was simulated for Cu Kα X-rays.
Neutral-atom scattering factors, no anomalous dispersion.

Structure:
Unit cell a=3.7488 b=3.7488 c=16.3990 alpha=90.00 beta=90.00 gamma=120.00
Space group P-6m2 (No. 187)
One atom of each set of equivalent atoms:
Cs 0.0000 0.0000 0.0000 x1
Cs 0.3333 0.6667 0.5000 x1
Nb 0.6667 0.3333 0.2598 x2
Se 0.3333 0.6667 0.1635 x2
S 0.0000 0.0000 0.3433 x2

Principal peaks in the range 2θ from 10° to 90°, sorted by position:
2θ = 21.7°, I 23, (0 0 4); 2θ = 28.0°, I 12, (1 0 1); 2θ = 29.6°, I 51, (1 0 2); 2θ = 32.1°, I 100, (1 0 3); 2θ = 43.3°, I 43, (1 0 6); 2θ = 48.6°, I 38, (1 1 0); 2θ = 53.8°, I 12, (1 1 4); 2θ = 58.0°, I 16, (1 0 9); 2θ = 59.4°, I 16, (2 0 3); 2θ = 80.2°, I 14, (2 1 3)